[1]
Structure and calculated powder XRD pattern of CoMoBr2 (a DFT-relaxed cell (PBE, Alexandria); Cu Kα (weighted mean of Kα1 and Kα2)).
No peak broadening, texture or thermal motion is included.

Largest 10 diffraction maxima, by angle, 2θ = 15–90°:
2θ 27.54, d = 3.239 Å, I 34; 2θ 31.80, d = 2.814 Å, I 31; 2θ 33.50, d = 2.675 Å, I 29; 2θ 35.64, d = 2.519 Å, I 100; 2θ 42.23, d = 2.140 Å, I 23; 2θ 45.73, d = 1.984 Å, I 20; 2θ 46.73, d = 1.944 Å, I 20; 2θ 50.22, d = 1.817 Å, I 14; 2θ 54.22, d = 1.692 Å, I 16; 2θ 56.44, d = 1.630 Å, I 13

Cell and atoms:
abc: 6.567 3.261 8.751
angles: 90.00 102.25 90.00
Atoms (fractional coordinates):
Co  0.000  0.000  0.000
Co  0.500  0.500  0.000
Mo  0.308  0.000  0.149
Mo  0.808  0.500  0.149
Br  0.141  0.500  0.828
Br  0.339  0.500  0.378
Br  0.641  0.000  0.828
Br  0.839  0.000  0.378

[2]
Structure and calculated powder XRD pattern of TbYMgCd (a DFT-relaxed cell (PBE, Alexandria); Cu Kα (weighted mean of Kα1 and Kα2)).
No peak broadening, texture or thermal motion is included.

Largest 10 diffraction maxima, by angle, 2θ = 15–90°:
2θ 16.79, d = 5.280 Å, I 21; 2θ 28.72, d = 3.109 Å, I 12; 2θ 33.45, d = 2.679 Å, I 100; 2θ 33.92, d = 2.643 Å, I 48; 2θ 47.33, d = 1.920 Å, I 9; 2θ 48.72, d = 1.869 Å, I 17; 2θ 59.50, d = 1.554 Å, I 18; 2θ 60.34, d = 1.534 Å, I 18; 2θ 60.45, d = 1.531 Å, I 18; 2θ 70.28, d = 1.339 Å, I 11

Cell and atoms:
abc: 3.841 5.279 5.293
angles: 90.00 90.00 90.00
Atoms (fractional coordinates):
Tb  0.000  0.000  0.000
Y  0.000  0.500  0.500
Mg  0.500  0.500  0.000
Cd  0.500  0.000  0.500

[3]
Structure and calculated powder XRD pattern of SmVP2Ru (a DFT-relaxed cell (PBE, Alexandria); Cu Kα (weighted mean of Kα1 and Kα2)).
No peak broadening, texture or thermal motion is included.

Largest 10 diffraction maxima, by angle, 2θ = 15–90°:
2θ 23.63, d = 3.765 Å, I 38; 2θ 34.92, d = 2.570 Å, I 42; 2θ 36.08, d = 2.489 Å, I 100; 2θ 44.54, d = 2.034 Å, I 34; 2θ 51.08, d = 1.788 Å, I 24; 2θ 57.81, d = 1.595 Å, I 19; 2θ 58.64, d = 1.574 Å, I 13; 2θ 64.94, d = 1.436 Å, I 15; 2θ 70.09, d = 1.343 Å, I 13; 2θ 76.49, d = 1.245 Å, I 24

Cell and atoms:
abc: 4.068 4.068 9.944
angles: 90.00 90.00 90.00
Atoms (fractional coordinates):
Sm  0.000  0.000  0.000
Sm  0.500  0.500  0.500
V  0.000  0.500  0.250
V  0.500  0.000  0.750
P  0.000  0.000  0.374
P  0.000  0.000  0.626
P  0.500  0.500  0.126
P  0.500  0.500  0.874
Ru  0.000  0.500  0.750
Ru  0.500  0.000  0.250

[4]
Structure and calculated powder XRD pattern of Sm4Er3PuS8 (a DFT-relaxed cell (PBE, Alexandria); Cu Kα (weighted mean of Kα1 and Kα2)).
No peak broadening, texture or thermal motion is included.

Largest 10 diffraction maxima, by angle, 2θ = 15–90°:
2θ 27.56, d = 3.237 Å, I 22; 2θ 27.72, d = 3.218 Å, I 63; 2θ 32.07, d = 2.791 Å, I 100; 2θ 45.88, d = 1.978 Å, I 36; 2θ 46.09, d = 1.970 Å, I 36; 2θ 54.57, d = 1.682 Å, I 31; 2θ 57.25, d = 1.609 Å, I 19; 2θ 76.12, d = 1.250 Å, I 16; 2θ 76.43, d = 1.246 Å, I 16; 2θ 85.22, d = 1.139 Å, I 12

Cell and atoms:
abc: 7.912 7.912 7.912
angles: 59.72 59.72 59.72
Atoms (fractional coordinates):
Sm  0.000  0.000  0.000
Sm  0.000  0.500  0.500
Sm  0.500  0.000  0.500
Sm  0.500  0.500  0.000
Er  0.000  0.000  0.500
Er  0.000  0.500  0.000
Er  0.500  0.000  0.000
Pu  0.500  0.500  0.500
S  0.243  0.748  0.748
S  0.245  0.245  0.245
S  0.252  0.252  0.757
S  0.252  0.757  0.252
S  0.748  0.243  0.748
S  0.748  0.748  0.243
S  0.755  0.755  0.755
S  0.757  0.252  0.252

[5]
Structure and calculated powder XRD pattern of Sr2Hg2Br (a DFT-relaxed cell (PBE, Alexandria); Cu Kα (weighted mean of Kα1 and Kα2)).
No peak broadening, texture or thermal motion is included.

Largest 10 diffraction maxima, by angle, 2θ = 15–90°:
2θ 23.80, d = 3.738 Å, I 37; 2θ 29.83, d = 2.995 Å, I 100; 2θ 32.67, d = 2.741 Å, I 30; 2θ 37.41, d = 2.404 Å, I 19; 2θ 38.15, d = 2.359 Å, I 18; 2θ 42.19, d = 2.142 Å, I 18; 2θ 46.10, d = 1.969 Å, I 19; 2θ 51.09, d = 1.788 Å, I 17; 2θ 54.50, d = 1.684 Å, I 13; 2θ 63.88, d = 1.457 Å, I 15

Cell and atoms:
abc: 8.667 8.667 4.718
angles: 90.00 90.00 90.00
Atoms (fractional coordinates):
Sr  0.179  0.321  0.000
Sr  0.321  0.821  0.000
Sr  0.679  0.179  0.000
Sr  0.821  0.679  0.000
Hg  0.121  0.621  0.500
Hg  0.379  0.121  0.500
Hg  0.621  0.879  0.500
Hg  0.879  0.379  0.500
Br  0.000  0.000  0.000
Br  0.500  0.500  0.000

[6]
Structure and calculated powder XRD pattern of BaIn5Ag2 (a DFT-relaxed cell (PBE, Alexandria); Cu Kα (weighted mean of Kα1 and Kα2)).
No peak broadening, texture or thermal motion is included.

Largest 10 diffraction maxima, by angle, 2θ = 15–90°:
2θ 27.17, d = 3.281 Å, I 23; 2θ 30.12, d = 2.967 Å, I 97; 2θ 30.64, d = 2.918 Å, I 100; 2θ 38.15, d = 2.359 Å, I 47; 2θ 38.75, d = 2.324 Å, I 69; 2θ 38.87, d = 2.317 Å, I 50; 2θ 38.99, d = 2.310 Å, I 29; 2θ 41.50, d = 2.176 Å, I 23; 2θ 56.05, d = 1.641 Å, I 45; 2θ 65.45, d = 1.426 Å, I 16

Cell and atoms:
abc: 4.634 8.221 11.267
angles: 90.00 90.00 90.00
Atoms (fractional coordinates):
Ba  0.000  0.000  0.000
Ba  0.500  0.500  0.500
In  0.000  0.192  0.355
In  0.000  0.192  0.645
In  0.000  0.500  0.000
In  0.000  0.808  0.355
In  0.000  0.808  0.645
In  0.500  0.000  0.500
In  0.500  0.308  0.145
In  0.500  0.308  0.855
In  0.500  0.692  0.145
In  0.500  0.692  0.855
Ag  0.000  0.500  0.249
Ag  0.000  0.500  0.751
Ag  0.500  0.000  0.251
Ag  0.500  0.000  0.749

[7]
Structure and calculated powder XRD pattern of Nd3MgPb3 (a DFT-relaxed cell (PBE, Alexandria); Cu Kα (weighted mean of Kα1 and Kα2)).
No peak broadening, texture or thermal motion is included.

Largest 10 diffraction maxima, by angle, 2θ = 15–90°:
2θ 18.19, d = 4.877 Å, I 38; 2θ 27.10, d = 3.290 Å, I 20; 2θ 28.15, d = 3.171 Å, I 21; 2θ 28.94, d = 3.085 Å, I 49; 2θ 32.74, d = 2.735 Å, I 100; 2θ 32.93, d = 2.720 Å, I 62; 2θ 33.11, d = 2.706 Å, I 40; 2θ 33.87, d = 2.647 Å, I 25; 2θ 36.86, d = 2.438 Å, I 37; 2θ 55.19, d = 1.664 Å, I 18

Cell and atoms:
abc: 6.758 6.758 9.754
angles: 90.28 90.28 103.13
Atoms (fractional coordinates):
Nd  0.191  0.809  0.000
Nd  0.222  0.778  0.500
Nd  0.409  0.409  0.202
Nd  0.591  0.591  0.798
Nd  0.778  0.222  0.500
Nd  0.809  0.191  0.000
Mg  0.299  0.299  0.533
Mg  0.701  0.701  0.467
Pb  0.021  0.021  0.265
Pb  0.060  0.476  0.759
Pb  0.476  0.060  0.759
Pb  0.524  0.940  0.241
Pb  0.940  0.524  0.241
Pb  0.979  0.979  0.735

[8]
Structure and calculated powder XRD pattern of BaYB (a DFT-relaxed cell (PBE, Alexandria); Cu Kα (weighted mean of Kα1 and Kα2)).
No peak broadening, texture or thermal motion is included.

Largest 10 diffraction maxima, by angle, 2θ = 15–90°:
2θ 22.14, d = 4.014 Å, I 33; 2θ 25.08, d = 3.551 Å, I 98; 2θ 26.33, d = 3.385 Å, I 100; 2θ 26.80, d = 3.327 Å, I 95; 2θ 28.51, d = 3.131 Å, I 57; 2θ 29.06, d = 3.073 Å, I 58; 2θ 30.01, d = 2.978 Å, I 97; 2θ 38.75, d = 2.324 Å, I 33; 2θ 40.24, d = 2.241 Å, I 31; 2θ 43.13, d = 2.097 Å, I 32

Cell and atoms:
abc: 4.572 4.741 9.164
angles: 84.65 84.57 79.53
Atoms (fractional coordinates):
Ba  0.229  0.224  0.175
Ba  0.771  0.776  0.825
Y  0.302  0.304  0.600
Y  0.698  0.696  0.400
B  0.134  0.861  0.506
B  0.866  0.139  0.494